No. 1
# GaNi9B8
Computed PXRD pattern, Cu Kα (λ = 1.5418 Å). Input: a structure optimized by DFT (PBE).

Principal peaks in the range 2θ = 5–70°, sorted by position:
Position (°2θ)	I_rel
37.48	693
39.58	334
40.50	397
42.15	1000
43.81	420
45.47	611
47.97	886
51.21	185
51.36	211
54.79	219

```
GaNi9B8
1.0
3.5577 -4.0606 0.0000
3.5577 4.0606 0.0000
0.0000 0.0000 10.7443
Ga Ni B
2 18 16
direct
0.0855 0.9145 0.7500
0.9145 0.0855 0.2500
0.0000 0.0000 0.0000
0.0000 0.0000 0.5000
0.0518 0.3972 0.7500
0.2406 0.3779 0.1140
0.2406 0.3779 0.3860
0.2898 0.7102 0.5809
0.2898 0.7102 0.9191
0.3779 0.2406 0.6140
0.3779 0.2406 0.8860
0.3972 0.0518 0.2500
0.6028 0.9482 0.7500
0.6221 0.7594 0.1140
0.6221 0.7594 0.3860
0.7102 0.2898 0.0809
0.7102 0.2898 0.4191
0.7594 0.6221 0.6140
0.7594 0.6221 0.8860
0.9482 0.6028 0.2500
0.0399 0.3830 0.5511
0.0399 0.3830 0.9489
0.2209 0.7791 0.1198
0.2209 0.7791 0.3802
0.3516 0.6484 0.2500
0.3830 0.0399 0.0511
0.3830 0.0399 0.4489
0.4354 0.5646 0.7500
0.5646 0.4354 0.2500
0.6170 0.9601 0.5511
0.6170 0.9601 0.9489
0.6484 0.3516 0.7500
0.7791 0.2209 0.6198
0.7791 0.2209 0.8802
0.9601 0.6170 0.0511
0.9601 0.6170 0.4489
```

=====

No. 2
# Ga2Ni21B6
Computed PXRD pattern, Cu Kα (λ = 1.5418 Å). Input: a structure optimized by DFT (PBE).

Principal peaks in the range 2θ = 5–70°, sorted by position:
Position (°2θ)	I_rel
34.27	51
38.47	273
42.31	318
45.01	1000
49.25	216
51.67	262
52.46	111
55.54	29
57.77	31
58.50	79

```
Ga2Ni21B6
1.0
0.0000 5.2327 5.2327
5.2327 0.0000 5.2327
5.2327 5.2327 0.0000
Ga Ni B
2 21 6
direct
0.2500 0.2500 0.2500
0.7500 0.7500 0.7500
0.0000 0.0000 0.0000
0.0000 0.0000 0.3375
0.0000 0.0000 0.6625
0.0000 0.3375 0.0000
0.0000 0.3375 0.6625
0.0000 0.6625 0.0000
0.0000 0.6625 0.3375
0.1487 0.6171 0.6171
0.3375 0.0000 0.0000
0.3375 0.0000 0.6625
0.3375 0.6625 0.0000
0.3829 0.3829 0.3829
0.3829 0.3829 0.8513
0.3829 0.8513 0.3829
0.6171 0.1487 0.6171
0.6171 0.6171 0.1487
0.6171 0.6171 0.6171
0.6625 0.0000 0.0000
0.6625 0.0000 0.3375
0.6625 0.3375 0.0000
0.8513 0.3829 0.3829
0.2731 0.2731 0.7269
0.2731 0.7269 0.2731
0.2731 0.7269 0.7269
0.7269 0.2731 0.2731
0.7269 0.2731 0.7269
0.7269 0.7269 0.2731
```

=====

No. 3
# Ga2B3O8
Computed PXRD pattern, Cu Kα (λ = 1.5418 Å). Input: a structure optimized by DFT (PBE).

Principal peaks in the range 2θ = 5–70°, sorted by position:
Position (°2θ)	I_rel
21.94	631
28.78	714
28.88	294
29.10	457
29.21	529
32.63	763
37.46	377
37.70	786
48.26	1000
51.37	466

```
Ga2B3O8
1.0
5.2755 -3.7731 0.0000
5.2755 3.7731 0.0000
0.0000 0.0000 10.7843
Ga B O
8 12 32
direct
0.1475 0.1475 0.5000
0.2065 0.7935 0.8685
0.2935 0.7065 0.3685
0.3525 0.3525 0.0000
0.6475 0.6475 0.0000
0.7065 0.2935 0.6315
0.7935 0.2065 0.1315
0.8525 0.8525 0.5000
0.0262 0.7244 0.1331
0.1487 0.3513 0.2500
0.2244 0.5262 0.6331
0.2756 0.9738 0.1331
0.3513 0.1487 0.7500
0.4738 0.7756 0.6331
0.5262 0.2244 0.3669
0.6487 0.8513 0.2500
0.7244 0.0262 0.8669
0.7756 0.4738 0.3669
0.8513 0.6487 0.7500
0.9738 0.2756 0.8669
0.0407 0.9593 0.3883
0.0551 0.9449 0.1452
0.0795 0.6477 0.7348
0.1089 0.6329 0.0125
0.1329 0.6089 0.5125
0.1477 0.5795 0.2348
0.2137 0.2426 0.8606
0.2426 0.2137 0.1394
0.2574 0.2863 0.6394
0.2863 0.2574 0.3606
0.3523 0.9205 0.7348
0.3671 0.8911 0.0125
0.3911 0.8671 0.5125
0.4205 0.8523 0.2348
0.4449 0.5551 0.6452
0.4593 0.5407 0.8883
0.5407 0.4593 0.1117
0.5551 0.4449 0.3548
0.5795 0.1477 0.7652
0.6089 0.1329 0.4875
0.6329 0.1089 0.9875
0.6477 0.0795 0.2652
0.7137 0.7426 0.6394
0.7426 0.7137 0.3606
0.7574 0.7863 0.8606
0.7863 0.7574 0.1394
0.8523 0.4205 0.7652
0.8671 0.3911 0.4875
0.8911 0.3671 0.9875
0.9205 0.3523 0.2652
0.9449 0.0551 0.8548
0.9593 0.0407 0.6117
```

=====

No. 4
# GaB6O6
Computed PXRD pattern, Cu Kα (λ = 1.5418 Å). Input: a structure optimized by DFT (PBE).

Principal peaks in the range 2θ = 5–70°, sorted by position:
Position (°2θ)	I_rel
7.11	242
14.25	1000
17.14	166
17.30	92
20.38	124
22.48	100
24.18	63
28.73	159
35.77	109
41.43	69

```
GaB6O6
1.0
3.0563 -5.1262 0.0000
3.0563 5.1262 0.0000
-2.4956 0.0000 12.4284
Ga B O
1 6 6
direct
0.0000 0.0000 0.0000
0.0848 0.6501 0.0000
0.2191 0.2191 0.5069
0.3499 0.9152 0.0000
0.6501 0.0848 0.0000
0.7809 0.7809 0.4931
0.9152 0.3499 0.0000
0.0872 0.3343 0.5064
0.2810 0.2810 0.0000
0.3343 0.0872 0.5064
0.6657 0.9128 0.4936
0.7190 0.7190 0.0000
0.9128 0.6657 0.4936
```

=====

No. 5
# SmGa3B4O12
Computed PXRD pattern, Cu Kα (λ = 1.5418 Å). Input: a structure optimized by DFT (PBE).

Principal peaks in the range 2θ = 5–70°, sorted by position:
Position (°2θ)	I_rel
15.83	167
18.54	206
24.47	889
30.88	238
31.98	1000
37.59	259
45.36	163
46.17	231
52.65	291
53.09	202

```
SmGa3B4O12
1.0
4.7859 2.7632 2.5298
-4.7859 2.7632 2.5298
0.0000 -5.5263 2.5298
Sm Ga B O
1 3 4 12
direct
0.0000 0.0000 0.0000
0.0000 0.5500 0.4500
0.4500 0.0000 0.5500
0.5500 0.4500 0.0000
0.0526 0.5000 0.9474
0.5000 0.5000 0.5000
0.5000 0.9474 0.0526
0.9474 0.0526 0.5000
0.0245 0.6262 0.7881
0.0924 0.9076 0.5000
0.2119 0.3738 0.9755
0.3547 0.6453 0.5000
0.3738 0.9755 0.2119
0.5000 0.0924 0.9076
0.5000 0.3547 0.6453
0.6262 0.7881 0.0245
0.6453 0.5000 0.3547
0.7881 0.0245 0.6262
0.9076 0.5000 0.0924
0.9755 0.2119 0.3738
```

=====

No. 6
# TbGa3B4O12
Computed PXRD pattern, Cu Kα (λ = 1.5418 Å). Input: a structure optimized by DFT (PBE).

Principal peaks in the range 2θ = 5–70°, sorted by position:
Position (°2θ)	I_rel
15.90	199
18.57	218
24.54	911
30.95	240
32.11	1000
37.65	272
45.45	176
46.30	216
52.86	307
53.39	205

```
TbGa3B4O12
1.0
4.7787 2.7590 2.5142
-4.7787 2.7590 2.5142
0.0000 -5.5180 2.5142
Tb Ga B O
1 3 4 12
direct
0.0000 0.0000 0.0000
0.0000 0.5482 0.4518
0.4518 0.0000 0.5482
0.5482 0.4518 0.0000
0.0503 0.5000 0.9497
0.5000 0.5000 0.5000
0.5000 0.9497 0.0503
0.9497 0.0503 0.5000
0.0247 0.6298 0.7923
0.0944 0.9056 0.5000
0.2077 0.3702 0.9753
0.3550 0.6450 0.5000
0.3702 0.9753 0.2077
0.5000 0.0944 0.9056
0.5000 0.3550 0.6450
0.6298 0.7923 0.0247
0.6450 0.5000 0.3550
0.7923 0.0247 0.6298
0.9056 0.5000 0.0944
0.9753 0.2077 0.3702
```